1.
Structure and calculated powder X-ray diffraction pattern of Ba6Fe8S15 (a crystal structure in Alexandria, relaxed with PBE; Cu Kα, 1.54184 Å).
Lines closer than 0.1° are merged.

Structure:
```
Ba6Fe8S15
1.0
-5.710 5.710 5.058
5.710 -5.710 5.058
5.710 5.710 -5.058
Ba Fe S
6 8 15
Direct
0.197 0.197 0.000 Ba
0.249 0.367 0.615 Ba
0.367 0.751 0.118 Ba
0.633 0.249 0.882 Ba
0.751 0.633 0.385 Ba
0.803 0.803 0.000 Ba
0.076 0.487 0.296 Fe
0.191 0.780 0.704 Fe
0.220 0.924 0.412 Fe
0.487 0.191 0.412 Fe
0.513 0.809 0.588 Fe
0.780 0.076 0.588 Fe
0.809 0.220 0.296 Fe
0.924 0.513 0.704 Fe
0.000 0.500 0.500 S
0.006 0.651 0.198 S
0.096 0.794 0.890 S
0.191 0.994 0.644 S
0.206 0.096 0.302 S
0.349 0.547 0.356 S
0.453 0.809 0.802 S
0.500 0.000 0.500 S
0.500 0.500 0.000 S
0.547 0.191 0.198 S
0.651 0.453 0.644 S
0.794 0.904 0.698 S
0.809 0.006 0.356 S
0.904 0.206 0.110 S
0.994 0.349 0.802 S
```

Most intense lines, 10° ≤ 2θ ≤ 80°, in order of rising 2θ:
2θ/deg  intensity
23.5  29
24.7  51
25.0  27
29.6  28
30.4  100
31.8  35
39.0  39
50.8  42

2.
Structure and calculated powder X-ray diffraction pattern of Ho3Si5Pt6 (a crystal structure in Alexandria, relaxed with PBE; Cu Kα, 1.54184 Å).
Lines closer than 0.1° are merged.

Structure:
```
Ho3Si5Pt6
1.0
4.049 0.000 0.000
0.000 12.576 0.000
0.000 0.000 9.514
Ho Si Pt
6 10 12
Direct
0.250 0.082 0.244 Ho
0.250 0.418 0.244 Ho
0.250 0.750 0.262 Ho
0.750 0.250 0.738 Ho
0.750 0.582 0.756 Ho
0.750 0.918 0.756 Ho
0.250 0.083 0.849 Si
0.250 0.417 0.849 Si
0.250 0.636 0.541 Si
0.250 0.750 0.841 Si
0.250 0.864 0.541 Si
0.750 0.136 0.459 Si
0.750 0.250 0.159 Si
0.750 0.364 0.459 Si
0.750 0.583 0.151 Si
0.750 0.917 0.151 Si
0.250 0.053 0.600 Pt
0.250 0.250 0.478 Pt
0.250 0.250 0.998 Pt
0.250 0.447 0.600 Pt
0.250 0.583 0.011 Pt
0.250 0.917 0.011 Pt
0.750 0.083 0.989 Pt
0.750 0.417 0.989 Pt
0.750 0.553 0.400 Pt
0.750 0.750 0.002 Pt
0.750 0.750 0.522 Pt
0.750 0.947 0.400 Pt
```

Most intense lines, 10° ≤ 2θ ≤ 80°, in order of rising 2θ:
2θ/deg  intensity
32.1  30
35.5  32
36.0  20
36.2  100
43.2  23
44.8  30
67.2  21
74.6  16

3.
Structure and calculated powder X-ray diffraction pattern of Mn4AlS8 (a crystal structure in Alexandria, relaxed with PBE; Cu Kα, 1.54184 Å).
Lines closer than 0.1° are merged.

Structure:
```
Mn4AlS8
1.0
3.410 1.969 5.828
-3.410 1.969 5.828
0.000 -3.937 5.828
Mn Al S
4 1 8
Direct
0.000 0.000 0.000 Mn
0.000 0.500 0.500 Mn
0.500 0.000 0.500 Mn
0.500 0.500 0.000 Mn
0.500 0.500 0.500 Al
0.254 0.254 0.727 S
0.254 0.727 0.254 S
0.260 0.260 0.260 S
0.273 0.746 0.746 S
0.727 0.254 0.254 S
0.740 0.740 0.740 S
0.746 0.273 0.746 S
0.746 0.746 0.273 S
```

Most intense lines, 10° ≤ 2θ ≤ 80°, in order of rising 2θ:
2θ/deg  intensity
15.2  66
30.7  22
36.7  100
47.7  12
52.1  32
53.8  30
56.2  10
66.9  20

4.
Structure and calculated powder X-ray diffraction pattern of Tb2Y4ErSc (a crystal structure in Alexandria, relaxed with PBE; Cu Kα, 1.54184 Å).
Lines closer than 0.1° are merged.

Structure:
```
Tb2Y4ErSc
1.0
4.988 0.000 0.000
0.000 4.988 0.000
0.000 0.000 9.943
Tb Y Er Sc
2 4 1 1
Direct
0.000 0.000 0.000 Tb
0.500 0.500 0.500 Tb
0.000 0.500 0.246 Y
0.000 0.500 0.754 Y
0.500 0.000 0.246 Y
0.500 0.000 0.754 Y
0.000 0.000 0.500 Er
0.500 0.500 0.000 Sc
```

Most intense lines, 10° ≤ 2θ ≤ 80°, in order of rising 2θ:
2θ/deg  intensity
17.8  6
31.1  100
36.0  34
36.1  17
51.9  35
61.7  27
61.9  13
64.8  12